# ScTaCoOs
Calculated powder diffractogram, Cu Kα X-rays. Input: the PBE geometry in Alexandria.

Structure:
Cell: 3.1493 3.1493 6.3578 Å, 90.00 90.00 90.00°
Space group P4mm (No. 99)
Symmetry-distinct sites (fractional):
Sc  0.0000  0.0000  0.0000
Ta  0.0000  0.0000  0.5144
Co  0.5000  0.5000  0.7377
Os  0.5000  0.5000  0.2708

Main lines, by angle (2θ = 5–70°):
- 6.358 Å, I = 55
- 2.822 Å, I = 26
- 2.237 Å, I = 100
- 2.227 Å, I = 50
- 2.102 Å, I = 15
- 1.758 Å, I = 11
- 1.589 Å, I = 8
- 1.575 Å, I = 17
- 1.528 Å, I = 6
- 1.375 Å, I = 6